The following is a calculated powder diffractogram of Tl2In3Pb6. It was derived from a PBE-relaxed structure, using Cu Kα (weighted mean of Kα1 and Kα2).
Peak positions follow from Bragg's law for the DFT cell and can differ from measured ones.

Atomic structure:
```
Tl2In3Pb6
1.0
6.1427 0.0000 0.0000
0.8552 6.0873 0.0000
0.4650 1.5776 8.9709
Tl In Pb
2 3 6
direct
0.1332 0.1730 0.2801 Tl
0.8668 0.8270 0.7199 Tl
0.3239 0.0861 0.6403 In
0.5000 0.0000 0.0000 In
0.6761 0.9139 0.3597 In
0.0451 0.7299 0.0903 Pb
0.2332 0.6290 0.4547 Pb
0.4111 0.5416 0.8204 Pb
0.5889 0.4584 0.1796 Pb
0.7668 0.3710 0.5453 Pb
0.9549 0.2701 0.9097 Pb
```

Top 6 peaks for 5 to 70 degrees two-theta, by angle:
2θ/deg	d/Å	Rel. int.
31.02	2.883	51.4
31.33	2.855	100.0
31.48	2.842	49.4
35.15	2.553	37.0
35.26	2.545	37.3
38.37	2.346	29.1